Structure and calculated powder diffraction line list of Mn4Nb2O9 (a cell relaxed with PBE+U; Cu Kα X-rays).
Intensities are scaled so that the largest is 100.

The 10 most intense peaks (2θ = 15–90°), by angle:
d/Å  I (rel.)
3.924  23
2.860  100
2.712  51
2.697  25
1.974  14
1.962  27
1.802  12
1.797  24
1.593  23
1.560  19

Structure:
```
30
Lattice="5.0661 -2.6966 0.0000 5.0661 2.6966 0.0000 -0.6580 0.0000 13.4123" Properties=species:S:1:pos:R:3 pbc="T T T"
Mn 5.0661 2.6953 0.0000
Mn 4.7371 -2.6953 6.7061
Mn 2.4076 0.0366 12.3732
Mn 2.7366 -0.0366 5.6671
Mn 2.9402 0.0679 8.8726
Mn 3.2693 -0.0679 2.1665
Mn 6.2850 0.0968 11.0966
Mn 6.6140 -0.0968 4.3905
Nb 5.9121 0.0377 7.8552
Nb 6.2411 -0.0377 1.1491
Nb 9.2277 0.1011 10.2762
Nb 9.5567 -0.1011 3.5701
O 2.0192 0.9984 0.7506
O 3.2160 1.9181 11.8233
O 3.1387 1.1059 3.9166
O 4.9378 1.6356 1.8550
O 5.8750 1.9188 4.6603
O 4.1400 0.6894 7.1026
O 4.9206 1.0405 9.6810
O 1.6901 -0.9984 7.4568
O 6.0004 1.0311 13.0297
O 2.8097 -1.1059 10.6228
O 4.4690 -0.6894 0.3964
O 7.5700 0.6453 2.4437
O 5.2497 -1.0405 2.9749
O 3.5450 -1.9181 5.1171
O 4.6088 -1.6356 8.5611
O 6.3294 -1.0311 6.3235
O 7.2410 -0.6453 9.1498
O 5.5460 -1.9188 11.3664
```